Starting from a DFT-relaxed cell (PBE+U, Alexandria), the powder X-ray diffraction pattern of BaLa3Mn4O12 was calculated for Cu Kα (weighted mean of Kα1 and Kα2).
Kinematic intensities with the Lorentz-polarization factor, no thermal factor.

Principal peaks in the range 2θ from 15° to 90°, by angle:
22.3°, intensity 15, hkl 1 0 1; 31.6°, intensity 24, hkl 0 0 2; 31.9°, intensity 25, hkl 2 0 0; 32.0°, intensity 100, hkl 1 2 1; 39.3°, intensity 13, hkl 0 2 2; 39.5°, intensity 14, hkl 2 2 0; 45.5°, intensity 32, hkl 2 0 2; 46.4°, intensity 14, hkl 0 4 0; 56.5°, intensity 21, hkl 1 2 3; 56.9°, intensity 19, hkl 3 2 1; 67.0°, intensity 17, hkl 2 4 2; 75.6°, intensity 13, hkl 3 2 3

Structural model:
```
BaLa3Mn4O12
1.0
5.611 0.000 0.000
0.000 7.834 0.000
0.000 0.000 5.665
Ba La Mn O
1 3 4 12
direct
0.000 0.000 0.000
0.000 0.500 0.012
0.500 0.000 0.512
0.500 0.500 0.507
0.000 0.252 0.504
0.000 0.748 0.504
0.500 0.252 0.003
0.500 0.748 0.003
0.000 0.000 0.464
0.000 0.500 0.578
0.249 0.294 0.252
0.249 0.706 0.252
0.263 0.226 0.738
0.263 0.774 0.738
0.500 0.000 0.079
0.500 0.500 0.937
0.737 0.226 0.738
0.737 0.774 0.738
0.751 0.294 0.252
0.751 0.706 0.252
```